1.
Sc2BiPb: simulated PXRD pattern (CuKα), based on the PBE geometry in Alexandria.
Neutral-atom scattering factors, no anomalous dispersion.

Cell lengths 8.1676, 8.1676, 8.1676 Å; angles 28.51, 28.51, 28.51 degrees
Element x y z (fractional)
Sc 0.0000 0.0000 0.0000
Sc 0.1753 0.1753 0.1753
Bi 0.5862 0.5862 0.5862
Pb 0.7553 0.7553 0.7553

Top 10 peaks for 2θ = 15–90°, in order of rising 2θ:
Position (°2θ)  I (rel.)
22.7  41
25.9  74
26.7  41
29.8  24
32.0  100
37.2  57
45.1  51
51.1  31
56.3  20
66.7  31

=====

2.
Bi4Pb7Se13: simulated PXRD pattern (CuKα), based on the PBE geometry in Alexandria.
Neutral-atom scattering factors, no anomalous dispersion.

Cell lengths 7.4515, 7.4515, 23.9453 Å; angles 96.39, 96.39, 33.33 degrees
Element x y z (fractional)
Bi 0.0606 0.0606 0.3770
Bi 0.2427 0.2427 0.0858
Bi 0.7573 0.7573 0.9142
Bi 0.9394 0.9394 0.6230
Pb 0.0210 0.0210 0.8372
Pb 0.2393 0.2393 0.7138
Pb 0.3544 0.3544 0.4580
Pb 0.5000 0.5000 0.0000
Pb 0.6456 0.6456 0.5420
Pb 0.7607 0.7607 0.2862
Pb 0.9790 0.9790 0.1628
Se 0.0000 0.0000 0.5000
Se 0.1180 0.1180 0.2690
Se 0.1330 0.1330 0.9595
Se 0.2913 0.2913 0.5908
Se 0.3482 0.3482 0.1924
Se 0.3798 0.3798 0.8835
Se 0.4243 0.4243 0.3483
Se 0.5757 0.5757 0.6517
Se 0.6202 0.6202 0.1165
Se 0.6518 0.6518 0.8076
Se 0.7087 0.7087 0.4092
Se 0.8670 0.8670 0.0405
Se 0.8820 0.8820 0.7310

Top 10 peaks for 2θ = 15–90°, in order of rising 2θ:
Position (°2θ)  I (rel.)
23.7  63
24.4  60
28.6  92
28.7  62
29.5  100
29.7  85
38.0  43
40.9  66
42.3  74
42.6  56